For FeSe2NO8, a GGA+U-relaxed structure gives the simulated powder X-ray diffraction pattern in this record (Cu Ka).
Intensities are scaled so that the largest is 100.

Top 12 peaks for 2θ = 10–80°, low angle first:
| 2θ (°) | intensity | h k l |
| --- | --- | --- |
| 10.1 | 46.4 | 0 0 1 |
| 22.5 | 100.0 | 0 1 1 |
| 28.7 | 37.9 | 0 1 2 |
| 35.1 | 28.5 | 1 1 0 |
| 37.0 | 11.2 | 1 0 3 |
| 42.1 | 9.4 | 2 0 1 |
| 46.0 | 9.9 | 2 0 2 |
| 46.4 | 8.7 | 1 0 4 |
| 55.4 | 9.2 | 1 1 4 |
| 55.9 | 13.4 | 1 2 1 |
| 59.1 | 9.2 | 1 2 2 |
| 78.7 | 9.3 | 2 0 6 |

Crystal structure
```
data_FeSe2NO8
_chemical_formula_sum 'Fe1 Se2 N1 O8'
_cell_length_a 5.1128
_cell_length_b 5.1128
_cell_length_c 8.7204
_cell_angle_alpha 90.00
_cell_angle_beta 90.00
_cell_angle_gamma 120.00
_space_group_name_H-M_alt 'P 3 2 1'
_space_group_IT_number 150
loop_
_space_group_symop_operation_xyz
'x,y,z'
'-y,x-y,z'
'-x+y,-x,z'
'y,x,-z'
'x-y,-y,-z'
'-x,-x+y,-z'
loop_
_atom_site_label
_atom_site_type_symbol
_atom_site_fract_x
_atom_site_fract_y
_atom_site_fract_z
Fe1 Fe 0.0000 0.0000 0.0000
Se1 Se 0.3333 0.6667 0.2137
N1 N 0.0000 0.0000 0.5000
O1 O 0.0577 0.3318 0.1481
O2 O 0.3333 0.6667 0.4026
```